Record 1
Structure and computed powder XRD pattern of CsH6IrAu (a DFT-relaxed cell (GGA-PBE, Alexandria); λ = 1.5418 Å (Cu Kα)).
No peak broadening, texture or thermal motion is included.

Principal peaks in the range 15° ≤ 2θ ≤ 90°, by intensity:
2θ = 25.38°, d 3.509, rel. 100
2θ = 35.21°, d 2.549, rel. 54
2θ = 47.56°, d 1.912, rel. 47
2θ = 15.33°, d 5.782, rel. 33
2θ = 30.93°, d 2.891, rel. 25
2θ = 43.90°, d 2.062, rel. 23

Atomic structure:
Lattice parameters (Å, degrees): 5.098 5.098 5.782 90.00 90.00 120.00
Fractional coordinates of all 9 atoms:
Cs 0.000 0.000 0.000
H 0.520 0.044 0.690
H 0.520 0.476 0.312
H 0.524 0.043 0.312
H 0.524 0.480 0.690
H 0.956 0.476 0.690
H 0.957 0.480 0.312
Ir 0.667 0.333 0.501
Au 0.333 0.667 0.498


Record 2
Structure and computed powder XRD pattern of DySc2Pd4 (a DFT-relaxed cell (GGA-PBE, Alexandria); λ = 1.5418 Å (Cu Kα)).
No peak broadening, texture or thermal motion is included.

Principal peaks in the range 15° ≤ 2θ ≤ 90°, by intensity:
2θ = 38.67°, d 2.329, rel. 100
2θ = 39.33°, d 2.291, rel. 49
2θ = 70.86°, d 1.330, rel. 32
2θ = 30.65°, d 2.917, rel. 17
2θ = 19.37°, d 4.582, rel. 16
2θ = 56.84°, d 1.620, rel. 16

Atomic structure:
Lattice parameters (Å, degrees): 4.582 4.582 6.698 90.00 90.00 90.00
Fractional coordinates of all 7 atoms:
Dy 0.000 0.000 0.000
Sc 0.000 0.000 0.500
Sc 0.500 0.500 0.000
Pd 0.000 0.500 0.265
Pd 0.000 0.500 0.735
Pd 0.500 0.000 0.265
Pd 0.500 0.000 0.735


Record 3
Structure and computed powder XRD pattern of LiHfRh (a DFT-relaxed cell (GGA-PBE, Alexandria); λ = 1.5418 Å (Cu Kα)).
No peak broadening, texture or thermal motion is included.

Principal peaks in the range 15° ≤ 2θ ≤ 90°, by intensity:
2θ = 16.19°, d 5.476, rel. 100
2θ = 33.27°, d 2.693, rel. 74
2θ = 44.18°, d 2.050, rel. 68
2θ = 33.55°, d 2.671, rel. 46
2θ = 35.66°, d 2.518, rel. 45
2θ = 24.12°, d 3.689, rel. 36

Atomic structure:
Lattice parameters (Å, degrees): 6.337 6.337 6.337 143.99 133.18 60.45
Fractional coordinates of all 6 atoms:
Li 0.247 0.000 0.247
Li 0.753 0.000 0.753
Hf 0.282 0.282 0.000
Hf 0.718 0.718 0.000
Rh 0.125 0.625 0.500
Rh 0.875 0.375 0.500